This entry pairs a crystal structure of K3Mn2O8 with its calculated powder XRD pattern. Radiation: a wavelength of 1.5418 Å. Structure: DFT lattice parameters and positions (PBE+U).
Lines closer than 0.1° are merged.

Most intense lines, 10 to 80 degrees two-theta, by angle:
2θ 17.9, intensity 29, (1 0 1)
2θ 24.7, intensity 10, (2 0 -2)
2θ 27.0, intensity 100, (2 1 -1)
2θ 30.4, intensity 94, (0 2 0)
2θ 36.2, intensity 12, (2 0 2)
2θ 41.1, intensity 44, (1 2 -3)
2θ 45.5, intensity 22, (3 1 -4)
2θ 52.0, intensity 13, (2 3 -1)
2θ 63.2, intensity 11, (2 2 4)
2θ 64.8, intensity 10, (3 3 -4)

Cell and atoms:
```
K3Mn2O8
1.0
7.970 0.000 0.000
0.000 5.875 0.000
-3.642 0.000 9.245
K Mn O
6 4 16
direct
0.148 0.250 0.042
0.204 0.750 0.713
0.332 0.250 0.454
0.668 0.750 0.546
0.796 0.250 0.287
0.852 0.750 0.958
0.075 0.750 0.335
0.447 0.750 0.150
0.553 0.250 0.850
0.925 0.250 0.665
0.050 0.520 0.232
0.050 0.980 0.232
0.074 0.250 0.585
0.247 0.750 0.024
0.280 0.750 0.465
0.403 0.250 0.923
0.472 0.524 0.251
0.472 0.976 0.251
0.528 0.024 0.749
0.528 0.476 0.749
0.597 0.750 0.077
0.720 0.250 0.535
0.753 0.250 0.976
0.926 0.750 0.415
0.950 0.020 0.768
0.950 0.480 0.768
```

=====

This entry pairs a crystal structure of KMnO4 with its calculated powder XRD pattern. Radiation: a wavelength of 1.5418 Å. Structure: DFT lattice parameters and positions (PBE+U).
Lines closer than 0.1° are merged.

Most intense lines, 10 to 80 degrees two-theta, by angle:
2θ 18.6, intensity 37, (0 1 1)
2θ 23.8, intensity 33, (0 0 2)
2θ 24.4, intensity 100, (2 1 0)
2θ 25.8, intensity 56, (1 0 2)
2θ 27.2, intensity 49, (2 1 1)
2θ 29.0, intensity 53, (0 2 0)
2θ 29.6, intensity 49, (1 1 2)
2θ 34.4, intensity 41, (2 1 2)
2θ 39.2, intensity 51, (1 2 2)
2θ 41.8, intensity 41, (4 0 1)

Cell and atoms:
```
KMnO4
1.0
9.032 0.000 0.000
0.000 6.168 0.000
0.000 0.000 7.480
K Mn O
4 4 16
direct
0.184 0.250 0.167
0.316 0.750 0.667
0.684 0.250 0.333
0.816 0.750 0.833
0.086 0.250 0.679
0.414 0.750 0.179
0.586 0.250 0.821
0.914 0.750 0.321
0.029 0.750 0.487
0.063 0.036 0.802
0.063 0.464 0.802
0.248 0.750 0.101
0.252 0.250 0.601
0.437 0.536 0.302
0.437 0.964 0.302
0.471 0.250 0.987
0.529 0.750 0.013
0.563 0.036 0.698
0.563 0.464 0.698
0.748 0.750 0.399
0.752 0.250 0.899
0.937 0.536 0.198
0.937 0.964 0.198
0.971 0.250 0.513
```

=====

This entry pairs a crystal structure of KMn2O4 with its calculated powder XRD pattern. Radiation: a wavelength of 1.5418 Å. Structure: DFT lattice parameters and positions (PBE+U).
Lines closer than 0.1° are merged.

Most intense lines, 10 to 80 degrees two-theta, by angle:
2θ 14.0, intensity 100, (0 0 1)
2θ 17.8, intensity 11, (0 1 0)
2θ 28.2, intensity 23, (0 0 2)
2θ 35.0, intensity 7, (1 -1 1)
2θ 36.1, intensity 13, (1 1 -1)
2θ 37.9, intensity 26, (-1 1 1)
2θ 39.8, intensity 22, (0 2 -2)
2θ 40.6, intensity 21, (1 1 1)
2θ 51.6, intensity 6, (1 1 -3)
2θ 60.3, intensity 6, (1 -3 1)

Cell and atoms:
```
KMn2O4
1.0
3.052 0.000 0.000
-0.297 5.153 0.000
-0.147 -1.732 6.339
K Mn O
1 2 4
direct
0.000 0.000 0.000
0.000 0.500 0.500
0.500 0.000 0.500
0.024 0.209 0.655
0.466 0.739 0.664
0.534 0.261 0.336
0.976 0.791 0.345
```

=====

This entry pairs a crystal structure of K2Mn2O3 with its calculated powder XRD pattern. Radiation: a wavelength of 1.5418 Å. Structure: DFT lattice parameters and positions (PBE+U).
Lines closer than 0.1° are merged.

Most intense lines, 10 to 80 degrees two-theta, by angle:
2θ 20.3, intensity 29, (0 1 1)
2θ 29.6, intensity 30, (1 1 1)
2θ 30.3, intensity 22, (0 0 2)
2θ 32.2, intensity 100, (1 2 -1)
2θ 33.3, intensity 27, (0 1 2)
2θ 33.9, intensity 44, (2 0 -2)
2θ 35.2, intensity 44, (2 1 0)
2θ 38.2, intensity 42, (1 2 1)
2θ 44.2, intensity 24, (1 1 -3)
2θ 59.6, intensity 20, (3 2 -3)

Cell and atoms:
```
K2Mn2O3
1.0
6.097 0.000 0.000
0.000 6.540 0.000
-2.696 0.000 5.896
K Mn O
4 4 6
direct
0.183 0.138 0.428
0.183 0.362 0.928
0.817 0.638 0.072
0.817 0.862 0.572
0.334 0.613 0.570
0.334 0.887 0.070
0.666 0.113 0.930
0.666 0.387 0.430
0.000 0.000 0.000
0.000 0.500 0.500
0.411 0.632 0.281
0.411 0.868 0.781
0.589 0.132 0.219
0.589 0.368 0.719
```

=====

This entry pairs a crystal structure of KMn2O4 with its calculated powder XRD pattern. Radiation: a wavelength of 1.5418 Å. Structure: DFT lattice parameters and positions (PBE+U).
Lines closer than 0.1° are merged.

Most intense lines, 10 to 80 degrees two-theta, by angle:
2θ 13.8, intensity 100, (0 1 0)
2θ 16.7, intensity 10, (0 0 2)
2θ 27.9, intensity 22, (0 2 0)
2θ 35.3, intensity 13, (1 1 2)
2θ 35.7, intensity 9, (1 1 -2)
2θ 36.0, intensity 17, (0 1 4)
2θ 41.2, intensity 19, (1 -1 2)
2θ 41.4, intensity 19, (1 2 -2)
2θ 43.2, intensity 9, (0 2 4)
2θ 61.1, intensity 7, (1 0 -6)

Cell and atoms:
```
KMn2O4
1.0
2.952 0.000 0.000
1.441 6.413 0.000
0.003 0.512 10.629
K Mn O
2 4 8
direct
0.000 0.000 0.000
0.027 0.961 0.444
0.254 0.504 0.049
0.288 0.438 0.545
0.761 0.494 0.301
0.785 0.442 0.797
0.177 0.668 0.243
0.220 0.575 0.699
0.347 0.320 0.374
0.354 0.299 0.887
0.679 0.655 0.966
0.704 0.612 0.469
0.826 0.358 0.144
0.870 0.270 0.603
```

=====

This entry pairs a crystal structure of KMn2O4 with its calculated powder XRD pattern. Radiation: a wavelength of 1.5418 Å. Structure: DFT lattice parameters and positions (PBE+U).
Lines closer than 0.1° are merged.

Most intense lines, 10 to 80 degrees two-theta, by angle:
2θ 10.0, intensity 100, (1 0 0)
2θ 20.2, intensity 55, (1 0 2)
2θ 27.4, intensity 28, (0 0 4)
2θ 29.0, intensity 28, (2 0 2)
2θ 30.4, intensity 20, (3 0 0)
2θ 30.7, intensity 44, (3 0 -4)
2θ 35.8, intensity 25, (1 2 -3)
2θ 39.1, intensity 21, (2 2 1)
2θ 40.9, intensity 22, (1 2 3)
2θ 46.6, intensity 20, (0 2 5)

Cell and atoms:
```
KMn2O4
1.0
9.820 0.000 0.000
0.000 5.864 0.000
-6.356 0.000 13.036
K Mn O
8 16 32
direct
0.135 0.125 0.376
0.135 0.875 0.876
0.142 0.375 0.865
0.142 0.625 0.365
0.858 0.375 0.635
0.858 0.625 0.135
0.865 0.125 0.124
0.865 0.875 0.624
0.243 0.375 0.676
0.243 0.625 0.176
0.244 0.125 0.178
0.244 0.875 0.678
0.479 0.125 0.583
0.479 0.375 0.083
0.479 0.625 0.583
0.479 0.875 0.083
0.521 0.125 0.917
0.521 0.375 0.417
0.521 0.625 0.917
0.521 0.875 0.417
0.756 0.125 0.322
0.756 0.875 0.822
0.757 0.375 0.824
0.757 0.625 0.324
0.127 0.125 0.697
0.127 0.375 0.197
0.127 0.625 0.697
0.127 0.875 0.197
0.307 0.125 0.613
0.307 0.875 0.113
0.308 0.374 0.114
0.308 0.626 0.614
0.383 0.125 0.983
0.383 0.875 0.483
0.384 0.375 0.483
0.384 0.625 0.983
0.418 0.125 0.328
0.418 0.375 0.828
0.418 0.625 0.328
0.418 0.875 0.828
0.582 0.125 0.172
0.582 0.375 0.672
0.582 0.625 0.172
0.582 0.875 0.672
0.616 0.375 0.017
0.616 0.625 0.517
0.617 0.125 0.517
0.617 0.875 0.017
0.692 0.374 0.386
0.692 0.626 0.886
0.693 0.125 0.887
0.693 0.875 0.387
0.873 0.125 0.803
0.873 0.375 0.303
0.873 0.625 0.803
0.873 0.875 0.303
```

=====

This entry pairs a crystal structure of KMn2O4 with its calculated powder XRD pattern. Radiation: a wavelength of 1.5418 Å. Structure: DFT lattice parameters and positions (PBE+U).
Lines closer than 0.1° are merged.

Most intense lines, 10 to 80 degrees two-theta, by angle:
2θ 11.5, intensity 34, (1 1 0)
2θ 16.4, intensity 55, (2 0 0)
2θ 26.0, intensity 100, (1 3 0)
2θ 33.1, intensity 53, (4 0 0)
2θ 35.1, intensity 45, (3 3 0)
2θ 35.6, intensity 90, (1 2 2)
2θ 46.2, intensity 64, (1 4 2)
2θ 50.5, intensity 32, (6 0 0)
2θ 55.2, intensity 56, (5 2 2)
2θ 63.3, intensity 49, (4 5 2)

Cell and atoms:
```
KMn2O4
1.0
10.840 0.000 0.000
0.000 10.840 0.000
0.000 0.000 5.906
K Mn O
8 16 32
direct
0.126 0.725 0.139
0.225 0.874 0.639
0.275 0.626 0.639
0.374 0.775 0.139
0.626 0.225 0.861
0.725 0.374 0.361
0.775 0.126 0.361
0.874 0.275 0.861
0.085 0.102 0.372
0.091 0.101 0.878
0.101 0.409 0.622
0.102 0.415 0.128
0.398 0.085 0.128
0.399 0.091 0.622
0.409 0.399 0.878
0.415 0.398 0.372
0.585 0.602 0.628
0.591 0.601 0.122
0.601 0.909 0.378
0.602 0.915 0.872
0.898 0.585 0.872
0.899 0.591 0.378
0.909 0.899 0.122
0.915 0.898 0.628
0.031 0.898 0.879
0.039 0.911 0.378
0.079 0.289 0.370
0.089 0.539 0.878
0.096 0.299 0.878
0.102 0.531 0.379
0.201 0.096 0.622
0.211 0.079 0.130
0.289 0.421 0.130
0.299 0.404 0.622
0.398 0.969 0.379
0.404 0.201 0.878
0.411 0.961 0.878
0.421 0.211 0.370
0.461 0.589 0.378
0.469 0.602 0.879
0.531 0.398 0.121
0.539 0.411 0.622
0.579 0.789 0.630
0.589 0.039 0.122
0.596 0.799 0.122
0.602 0.031 0.621
0.701 0.596 0.378
0.711 0.579 0.870
0.789 0.921 0.870
0.799 0.904 0.378
0.898 0.469 0.621
0.904 0.701 0.122
0.911 0.461 0.122
0.921 0.711 0.630
0.961 0.089 0.622
0.969 0.102 0.121
```

=====

This entry pairs a crystal structure of KMnP3O9 with its calculated powder XRD pattern. Radiation: a wavelength of 1.5418 Å. Structure: DFT lattice parameters and positions (PBE+U).
Lines closer than 0.1° are merged.

Most intense lines, 10 to 80 degrees two-theta, by angle:
2θ 15.1, intensity 26, (1 0 0)
2θ 23.1, intensity 100, (1 0 2)
2θ 27.8, intensity 44, (1 1 1)
2θ 30.5, intensity 18, (2 0 0)
2θ 31.8, intensity 75, (1 1 2)
2θ 44.6, intensity 14, (1 1 4)
2θ 46.5, intensity 16, (3 0 0)
2θ 47.3, intensity 15, (2 0 4)
2θ 55.0, intensity 18, (2 1 4)
2θ 57.5, intensity 15, (2 2 2)

Cell and atoms:
```
KMnP3O9
1.0
6.760 0.000 0.000
-3.380 5.855 0.000
0.000 0.000 10.184
K Mn P O
2 2 6 18
direct
0.000 0.000 0.000
0.000 0.000 0.500
0.667 0.333 0.000
0.667 0.333 0.500
0.055 0.439 0.250
0.055 0.615 0.750
0.385 0.439 0.750
0.385 0.945 0.250
0.561 0.615 0.250
0.561 0.945 0.750
0.141 0.432 0.750
0.141 0.710 0.250
0.290 0.432 0.250
0.290 0.859 0.750
0.401 0.066 0.123
0.401 0.066 0.377
0.401 0.335 0.623
0.401 0.335 0.877
0.568 0.710 0.750
0.568 0.859 0.250
0.665 0.066 0.623
0.665 0.066 0.877
0.665 0.599 0.123
0.665 0.599 0.377
0.934 0.335 0.123
0.934 0.335 0.377
0.934 0.599 0.623
0.934 0.599 0.877
```

=====

This entry pairs a crystal structure of KMnPO4 with its calculated powder XRD pattern. Radiation: a wavelength of 1.5418 Å. Structure: DFT lattice parameters and positions (PBE+U).
Lines closer than 0.1° are merged.

Most intense lines, 10 to 80 degrees two-theta, by angle:
2θ 20.2, intensity 24, (0 2 0)
2θ 26.9, intensity 43, (1 2 1)
2θ 27.5, intensity 100, (1 2 -1)
2θ 27.7, intensity 47, (1 -1 2)
2θ 27.8, intensity 28, (0 2 2)
2θ 28.8, intensity 24, (0 2 -2)
2θ 31.8, intensity 27, (0 3 1)
2θ 32.2, intensity 58, (2 0 0)
2θ 33.6, intensity 22, (1 0 3)
2θ 53.6, intensity 23, (-1 3 4)

Cell and atoms:
```
KMnPO4
1.0
5.567 0.000 0.000
0.350 8.776 0.000
0.135 0.306 9.051
K Mn P O
4 4 4 16
direct
0.218 0.005 0.177
0.239 0.501 0.321
0.761 0.499 0.679
0.782 0.995 0.823
0.273 0.676 0.896
0.310 0.158 0.579
0.690 0.842 0.421
0.727 0.324 0.104
0.219 0.796 0.556
0.234 0.297 0.907
0.766 0.703 0.093
0.781 0.204 0.444
0.002 0.720 0.488
0.034 0.743 0.061
0.171 0.823 0.723
0.244 0.457 0.830
0.265 0.952 0.473
0.350 0.174 0.806
0.370 0.292 0.057
0.451 0.694 0.533
0.549 0.306 0.467
0.630 0.708 0.943
0.650 0.826 0.194
0.735 0.048 0.527
0.756 0.543 0.170
0.829 0.177 0.277
0.966 0.257 0.939
0.998 0.280 0.512
```

=====

Number 8 is which compound?
KMnP3O9